1.
This entry pairs a crystal structure of Nb2MoRh9 with its simulated XRD peak list. Radiation: Cu Kα, 1.54184 Å. Structure: a GGA-PBE-relaxed structure.
Peak positions follow from Bragg's law for the DFT cell and can differ from measured ones.

Main lines, sorted by position (2θ from 10° to 90°):
2θ = 40.14°, I = 100.0; 2θ = 46.68°, I = 48.2; 2θ = 68.16°, I = 30.2; 2θ = 82.15°, I = 35.8; 2θ = 86.67°, I = 10.6

Atomic structure:
Cell lengths 3.8909, 3.8909, 11.6776 Å; angles 90.00, 90.00, 90.00 degrees
Sites, in units of the cell vectors:
Nb: 0.0000 0.0000 0.1657
Nb: 0.0000 0.0000 0.8343
Mo: 0.0000 0.0000 0.5000
Rh: 0.0000 0.5000 0.0000
Rh: 0.0000 0.5000 0.3374
Rh: 0.0000 0.5000 0.6626
Rh: 0.5000 0.0000 0.0000
Rh: 0.5000 0.0000 0.3374
Rh: 0.5000 0.0000 0.6626
Rh: 0.5000 0.5000 0.1685
Rh: 0.5000 0.5000 0.5000
Rh: 0.5000 0.5000 0.8315



2.
This entry pairs a crystal structure of Nb4Mo3Rh with its simulated XRD peak list. Radiation: Cu Kα, 1.54184 Å. Structure: a GGA-PBE-relaxed structure.
Peak positions follow from Bragg's law for the DFT cell and can differ from measured ones.

Main lines, sorted by position (2θ from 10° to 90°):
2θ = 39.36°, I = 25.2; 2θ = 39.47°, I = 100.0; 2θ = 39.75°, I = 24.4; 2θ = 57.18°, I = 16.3; 2θ = 71.43°, I = 25.0; 2θ = 71.97°, I = 16.1

Atomic structure:
Cell lengths 3.2350, 4.5783, 9.0702 Å; angles 90.00, 90.00, 90.00 degrees
Sites, in units of the cell vectors:
Nb: 0.0000 0.0000 0.0000
Nb: 0.0000 0.0000 0.5000
Nb: 0.0000 0.5000 0.2477
Nb: 0.0000 0.5000 0.7523
Mo: 0.5000 0.0000 0.2553
Mo: 0.5000 0.0000 0.7447
Mo: 0.5000 0.5000 0.0000
Rh: 0.5000 0.5000 0.5000



3.
This entry pairs a crystal structure of NbMoRh with its simulated XRD peak list. Radiation: Cu Kα, 1.54184 Å. Structure: a GGA-PBE-relaxed structure.
Peak positions follow from Bragg's law for the DFT cell and can differ from measured ones.

Main lines, sorted by position (2θ from 10° to 90°):
2θ = 36.28°, I = 100.0; 2θ = 37.08°, I = 43.9; 2θ = 42.37°, I = 82.2; 2θ = 44.59°, I = 25.4; 2θ = 48.91°, I = 54.9; 2θ = 62.93°, I = 35.8

Atomic structure:
Cell lengths 3.7247, 3.7247, 7.2738 Å; angles 90.00, 90.00, 90.00 degrees
Sites, in units of the cell vectors:
Nb: 0.2500 0.2500 0.1398
Nb: 0.7500 0.7500 0.8602
Mo: 0.2500 0.7500 0.5000
Mo: 0.7500 0.2500 0.5000
Rh: 0.2500 0.2500 0.7888
Rh: 0.7500 0.7500 0.2112



4.
This entry pairs a crystal structure of Nb6MoRh with its simulated XRD peak list. Radiation: Cu Kα, 1.54184 Å. Structure: a GGA-PBE-relaxed structure.
Peak positions follow from Bragg's law for the DFT cell and can differ from measured ones.

Main lines, sorted by position (2θ from 10° to 90°):
2θ = 38.93°, I = 100.0; 2θ = 39.14°, I = 49.3; 2θ = 56.54°, I = 16.4; 2θ = 70.36°, I = 16.6; 2θ = 70.78°, I = 32.8; 2θ = 83.58°, I = 10.4

Atomic structure:
Cell lengths 7.3395, 7.3395, 7.3395 Å; angles 143.45, 143.45, 52.66 degrees
Sites, in units of the cell vectors:
Nb: 0.1227 0.6227 0.5000
Nb: 0.2482 0.2482 0.0000
Nb: 0.3773 0.8773 0.5000
Nb: 0.6227 0.1227 0.5000
Nb: 0.7518 0.7518 0.0000
Nb: 0.8773 0.3773 0.5000
Mo: 0.0000 0.0000 0.0000
Rh: 0.5000 0.5000 0.0000



5.
This entry pairs a crystal structure of Nb4Mo2Ru3 with its simulated XRD peak list. Radiation: Cu Kα, 1.54184 Å. Structure: a GGA-PBE-relaxed structure.
Peak positions follow from Bragg's law for the DFT cell and can differ from measured ones.

Main lines, sorted by position (2θ from 10° to 90°):
2θ = 39.94°, I = 100.0; 2θ = 57.77°, I = 16.3; 2θ = 72.54°, I = 32.4; 2θ = 86.17°, I = 10.3

Atomic structure:
Cell lengths 4.5156, 4.5156, 8.2877 Å; angles 90.00, 90.00, 120.00 degrees
Sites, in units of the cell vectors:
Nb: 0.0000 0.0000 0.1623
Nb: 0.0000 0.0000 0.8377
Nb: 0.3333 0.6667 0.3869
Nb: 0.6667 0.3333 0.6131
Mo: 0.3333 0.6667 0.7248
Mo: 0.6667 0.3333 0.2752
Ru: 0.0000 0.0000 0.5000
Ru: 0.3333 0.6667 0.0710
Ru: 0.6667 0.3333 0.9290



6.
This entry pairs a crystal structure of NbMoRu3 with its simulated XRD peak list. Radiation: Cu Kα, 1.54184 Å. Structure: a GGA-PBE-relaxed structure.
Peak positions follow from Bragg's law for the DFT cell and can differ from measured ones.

Main lines, sorted by position (2θ from 10° to 90°):
2θ = 36.14°, I = 48.8; 2θ = 37.67°, I = 70.5; 2θ = 41.64°, I = 100.0; 2θ = 41.76°, I = 91.7; 2θ = 43.12°, I = 59.2; 2θ = 43.39°, I = 62.8

Atomic structure:
Cell lengths 4.8070, 4.8070, 5.2145 Å; angles 119.72, 119.72, 53.65 degrees
Sites, in units of the cell vectors:
Nb: 0.0000 0.0000 0.0000
Mo: 0.3954 0.3954 0.3775
Ru: 0.2592 0.2592 0.7421
Ru: 0.6816 0.6816 0.9538
Ru: 0.7049 0.7049 0.4364



7.
This entry pairs a crystal structure of Nb5MoRu2 with its simulated XRD peak list. Radiation: Cu Kα, 1.54184 Å. Structure: a GGA-PBE-relaxed structure.
Peak positions follow from Bragg's law for the DFT cell and can differ from measured ones.

Main lines, sorted by position (2θ from 10° to 90°):
2θ = 39.56°, I = 100.0; 2θ = 57.10°, I = 11.1; 2θ = 57.35°, I = 5.5; 2θ = 71.71°, I = 22.0; 2θ = 71.88°, I = 10.9; 2θ = 85.26°, I = 7.0

Atomic structure:
Cell lengths 5.5803, 5.5803, 5.5803 Å; angles 109.36, 109.36, 109.69 degrees
Sites, in units of the cell vectors:
Nb: 0.0000 0.0000 0.0000
Nb: 0.0000 0.0000 0.5000
Nb: 0.0000 0.5000 0.0000
Nb: 0.5000 0.0000 0.0000
Nb: 0.5000 0.5000 0.5000
Mo: 0.5000 0.5000 0.0000
Ru: 0.0000 0.5000 0.5000
Ru: 0.5000 0.0000 0.5000



8.
This entry pairs a crystal structure of Nb2MoS6 with its simulated XRD peak list. Radiation: Cu Kα, 1.54184 Å. Structure: a GGA-PBE-relaxed structure.
Peak positions follow from Bragg's law for the DFT cell and can differ from measured ones.

Main lines, sorted by position (2θ from 10° to 90°):
2θ = 20.87°, I = 100.0; 2θ = 30.82°, I = 44.3; 2θ = 34.31°, I = 20.6; 2θ = 42.47°, I = 30.8; 2θ = 43.31°, I = 66.6; 2θ = 53.39°, I = 28.5

Atomic structure:
Cell lengths 6.0204, 6.0204, 9.9325 Å; angles 90.00, 90.00, 90.00 degrees
Sites, in units of the cell vectors:
Nb: 0.0000 0.0000 0.1762
Nb: 0.0000 0.0000 0.8238
Nb: 0.5000 0.5000 0.3238
Nb: 0.5000 0.5000 0.6762
Mo: 0.0000 0.0000 0.5000
Mo: 0.5000 0.5000 0.0000
S: 0.2087 0.2087 0.0000
S: 0.2088 0.2088 0.3369
S: 0.2088 0.2088 0.6631
S: 0.2912 0.7088 0.1631
S: 0.2913 0.7087 0.5000
S: 0.2912 0.7088 0.8369
S: 0.7088 0.2912 0.1631
S: 0.7087 0.2913 0.5000
S: 0.7088 0.2912 0.8369
S: 0.7913 0.7913 0.0000
S: 0.7912 0.7912 0.3369
S: 0.7912 0.7912 0.6631



9.
This entry pairs a crystal structure of ScNb5Mo6 with its simulated XRD peak list. Radiation: Cu Kα, 1.54184 Å. Structure: a GGA-PBE-relaxed structure.
Peak positions follow from Bragg's law for the DFT cell and can differ from measured ones.

Main lines, sorted by position (2θ from 10° to 90°):
2θ = 39.16°, I = 25.3; 2θ = 39.27°, I = 100.0; 2θ = 39.44°, I = 24.7; 2θ = 56.76°, I = 24.6; 2θ = 71.05°, I = 24.8; 2θ = 71.41°, I = 16.2

Atomic structure:
Cell lengths 7.9261, 7.9261, 7.9261 Å; angles 146.26, 131.63, 60.27 degrees
Sites, in units of the cell vectors:
Sc: 0.0000 0.0000 0.0000
Nb: 0.1649 0.6649 0.5000
Nb: 0.3327 0.3327 0.0000
Nb: 0.5000 0.0000 0.5000
Nb: 0.6673 0.6673 0.0000
Nb: 0.8351 0.3351 0.5000
Mo: 0.0843 0.8307 0.2536
Mo: 0.2586 0.5000 0.7586
Mo: 0.4229 0.1693 0.2536
Mo: 0.5771 0.8307 0.7464
Mo: 0.7414 0.5000 0.2414
Mo: 0.9157 0.1693 0.7464



10.
This entry pairs a crystal structure of NbTe2Mo2Se4 with its simulated XRD peak list. Radiation: Cu Kα, 1.54184 Å. Structure: a GGA-PBE-relaxed structure.
Peak positions follow from Bragg's law for the DFT cell and can differ from measured ones.

Main lines, sorted by position (2θ from 10° to 90°):
2θ = 11.78°, I = 94.2; 2θ = 30.31°, I = 57.6; 2θ = 36.41°, I = 100.0; 2θ = 38.83°, I = 22.9; 2θ = 44.48°, I = 50.4; 2θ = 53.85°, I = 40.5

Atomic structure:
Cell lengths 3.4048, 3.4048, 22.5332 Å; angles 90.00, 90.00, 120.00 degrees
Sites, in units of the cell vectors:
Nb: 0.0000 0.0000 0.0000
Te: 0.6667 0.3333 0.0884
Te: 0.6667 0.3333 0.9116
Mo: 0.0000 0.0000 0.6417
Mo: 0.6667 0.3333 0.3308
Se: 0.0000 0.0000 0.2577
Se: 0.0000 0.0000 0.4038
Se: 0.6667 0.3333 0.5687
Se: 0.6667 0.3333 0.7147



11.
This entry pairs a crystal structure of Nb5Si6Mo5 with its simulated XRD peak list. Radiation: Cu Kα, 1.54184 Å. Structure: a GGA-PBE-relaxed structure.
Peak positions follow from Bragg's law for the DFT cell and can differ from measured ones.

Main lines, sorted by position (2θ from 10° to 90°):
2θ = 37.43°, I = 90.7; 2θ = 40.09°, I = 62.5; 2θ = 40.96°, I = 50.1; 2θ = 41.78°, I = 88.4; 2θ = 41.94°, I = 90.6; 2θ = 44.28°, I = 100.0

Atomic structure:
Cell lengths 7.3942, 7.3942, 9.8132 Å; angles 131.44, 131.44, 40.00 degrees
Sites, in units of the cell vectors:
Nb: 0.0000 0.0000 0.0000
Nb: 0.1543 0.1543 0.7058
Nb: 0.3264 0.8270 0.3525
Nb: 0.5005 0.5005 0.5541
Nb: 0.8270 0.3264 0.3525
Si: 0.2446 0.2446 0.3500
Si: 0.3309 0.8273 0.8566
Si: 0.4113 0.4113 0.0170
Si: 0.7444 0.7444 0.6870
Si: 0.8273 0.3309 0.8566
Si: 0.9047 0.9047 0.3494
Mo: 0.2981 0.2981 0.1465
Mo: 0.3566 0.3566 0.7025
Mo: 0.6522 0.6522 0.1516
Mo: 0.7991 0.7991 0.9987
Mo: 0.8569 0.8569 0.5601



12.
This entry pairs a crystal structure of NbSi6Mo2 with its simulated XRD peak list. Radiation: Cu Kα, 1.54184 Å. Structure: a GGA-PBE-relaxed structure.
Peak positions follow from Bragg's law for the DFT cell and can differ from measured ones.

Main lines, sorted by position (2θ from 10° to 90°):
2θ = 25.74°, I = 70.0; 2θ = 35.12°, I = 47.3; 2θ = 40.69°, I = 51.7; 2θ = 40.89°, I = 100.0; 2θ = 41.23°, I = 55.3; 2θ = 47.68°, I = 64.7

Atomic structure:
Cell lengths 4.6867, 4.6867, 6.5680 Å; angles 90.00, 90.00, 119.64 degrees
Sites, in units of the cell vectors:
Nb: 0.0000 0.0000 0.0000
Si: 0.1760 0.3400 0.3349
Si: 0.3377 0.6623 0.0000
Si: 0.3400 0.1760 0.6651
Si: 0.6600 0.8240 0.6651
Si: 0.6623 0.3377 0.0000
Si: 0.8240 0.6600 0.3349
Mo: 0.0000 0.5000 0.6650
Mo: 0.5000 0.0000 0.3350